# Ni7Pt2Rh
Theoretical PXRD pattern, a wavelength of 1.5418 Å. Input: a crystal structure in Alexandria, relaxed with GGA-PBE.
Lines closer than 0.1° are merged.

Principal peaks in the range 2θ from 5° to 70°, by intensity:
d_spacing	2theta	Rel. int.
2.126	42.53	100
2.134	42.35	51
2.099	43.10	48
1.846	49.37	32
1.830	49.82	32
1.835	49.70	31
4.198	21.16	29
2.221	40.63	11
3.100	28.80	10
1.683	54.53	7

Cell and atoms:
a b c (Å): 4.459 4.544 6.854
angles (deg): 103.00 108.49 99.58
Sites, in units of the cell vectors:
Ni1 0.000 0.000 0.000
Ni2 0.196 0.588 0.193
Ni3 0.400 0.203 0.397
Ni4 0.401 0.702 0.901
Ni5 0.599 0.298 0.099
Ni6 0.600 0.797 0.603
Ni7 0.804 0.412 0.807
Pt1 0.211 0.107 0.711
Pt2 0.789 0.893 0.289
Rh1 0.000 0.500 0.500


# Ni2Pt3Rh2
Theoretical PXRD pattern, a wavelength of 1.5418 Å. Input: a crystal structure in Alexandria, relaxed with GGA-PBE.
Lines closer than 0.1° are merged.

Principal peaks in the range 2θ from 5° to 70°, by intensity:
d_spacing	2theta	Rel. int.
2.193	41.17	100
2.180	41.42	81
2.160	41.82	49
2.064	43.87	37
1.492	62.22	31
3.399	26.22	30
1.606	57.38	16
4.492	19.76	15
1.351	69.57	9
1.797	50.81	4

Cell and atoms:
a b c (Å): 2.703 4.127 17.970
angles (deg): 90.00 90.00 90.00
Sites, in units of the cell vectors:
Ni1 0.000 0.000 0.149
Ni2 0.000 0.000 0.851
Ni3 0.500 0.500 0.351
Ni4 0.500 0.500 0.649
Pt1 0.000 0.000 0.294
Pt2 0.000 0.000 0.706
Pt3 0.000 0.500 0.500
Pt4 0.500 0.000 0.000
Pt5 0.500 0.500 0.206
Pt6 0.500 0.500 0.794
Rh1 0.000 0.500 0.071
Rh2 0.000 0.500 0.929
Rh3 0.500 0.000 0.429
Rh4 0.500 0.000 0.571


# Ni3PtRh
Theoretical PXRD pattern, a wavelength of 1.5418 Å. Input: a crystal structure in Alexandria, relaxed with GGA-PBE.
Lines closer than 0.1° are merged.

Principal peaks in the range 2θ from 5° to 70°, by intensity:
d_spacing	2theta	Rel. int.
2.087	43.35	100
2.072	43.68	62
1.998	45.39	60
1.918	47.39	56
3.116	28.65	49
3.269	27.28	47
3.185	28.02	44
1.727	53.02	39
2.712	33.03	38
2.007	45.17	37

Cell and atoms:
a b c (Å): 6.745 6.745 4.446
angles (deg): 96.86 96.86 43.30
Sites, in units of the cell vectors:
Ni1 0.171 0.171 0.302
Ni2 0.336 0.321 0.679
Ni3 0.579 0.066 0.177
Ni4 0.679 0.664 0.321
Ni5 0.829 0.829 0.698
Ni6 0.934 0.421 0.823
Pt1 0.603 0.397 0.000
Pt2 0.894 0.106 0.500
Rh1 0.114 0.601 0.202
Rh2 0.399 0.886 0.798


# NiPt2Rh2
Theoretical PXRD pattern, a wavelength of 1.5418 Å. Input: a crystal structure in Alexandria, relaxed with GGA-PBE.
Lines closer than 0.1° are merged.

Principal peaks in the range 2θ from 5° to 70°, by intensity:
d_spacing	2theta	Rel. int.
2.010	45.11	100
2.160	41.82	77
2.211	40.81	49
2.471	36.36	41
1.648	55.79	25
2.993	29.85	20
3.017	29.61	13
2.695	33.24	11
1.348	69.79	10
4.942	17.95	9

Cell and atoms:
a b c (Å): 7.103 7.103 7.103
angles (deg): 143.72 135.40 58.79
Sites, in units of the cell vectors:
Ni1 0.371 0.121 0.250
Ni2 0.629 0.879 0.750
Pt1 0.132 0.882 0.250
Pt2 0.255 0.505 0.750
Pt3 0.745 0.495 0.250
Pt4 0.868 0.118 0.750
Rh1 0.193 0.689 0.504
Rh2 0.315 0.311 0.004
Rh3 0.685 0.689 0.996
Rh4 0.807 0.311 0.496


# NiPt4Rh2
Theoretical PXRD pattern, a wavelength of 1.5418 Å. Input: a crystal structure in Alexandria, relaxed with GGA-PBE.
Lines closer than 0.1° are merged.

Principal peaks in the range 2θ from 5° to 70°, by intensity:
d_spacing	2theta	Rel. int.
2.076	43.61	100
2.070	43.73	100
2.205	40.94	94
2.057	44.03	91
2.269	39.72	56
3.199	27.89	41
1.347	69.84	39
4.650	19.09	36
2.600	34.49	32
2.248	40.11	30

Cell and atoms:
a b c (Å): 5.388 5.388 9.219
angles (deg): 98.47 98.47 119.33
Sites, in units of the cell vectors:
Ni1 0.041 0.959 0.750
Ni2 0.959 0.041 0.250
Pt1 0.009 0.253 0.007
Pt2 0.046 0.458 0.749
Pt3 0.253 0.009 0.507
Pt4 0.458 0.046 0.249
Pt5 0.542 0.954 0.751
Pt6 0.747 0.991 0.493
Pt7 0.954 0.542 0.251
Pt8 0.991 0.747 0.993
Rh1 0.254 0.498 0.498
Rh2 0.498 0.254 0.998
Rh3 0.502 0.746 0.002
Rh4 0.746 0.502 0.502


# ThNiPtRh
Theoretical PXRD pattern, a wavelength of 1.5418 Å. Input: a crystal structure in Alexandria, relaxed with GGA-PBE.
Lines closer than 0.1° are merged.

Principal peaks in the range 2θ from 5° to 70°, by intensity:
d_spacing	2theta	Rel. int.
2.378	37.84	100
2.118	42.69	18
4.030	22.06	16
2.048	44.22	16
2.015	44.99	15
2.945	30.35	15
1.472	63.15	11
1.460	63.75	11
1.436	64.92	10
1.663	55.23	6

Cell and atoms:
a b c (Å): 4.030 4.096 4.236
angles (deg): 90.00 90.00 90.00
Sites, in units of the cell vectors:
Th1 0.000 0.000 0.000
Ni1 0.500 0.000 0.500
Pt1 0.000 0.500 0.500
Rh1 0.500 0.500 0.000


# TiNiPtRh
Theoretical PXRD pattern, a wavelength of 1.5418 Å. Input: a crystal structure in Alexandria, relaxed with GGA-PBE.
Lines closer than 0.1° are merged.

Principal peaks in the range 2θ from 5° to 70°, by intensity:
d_spacing	2theta	Rel. int.
2.202	40.99	100
3.695	24.09	20
2.742	32.66	19
1.968	46.14	18
1.911	47.58	16
1.848	49.33	15
1.371	68.44	11
1.347	69.84	10
3.935	22.60	7
1.532	60.42	7

Cell and atoms:
a b c (Å): 3.695 3.822 3.935
angles (deg): 90.00 90.00 90.00
Sites, in units of the cell vectors:
Ti1 0.000 0.000 0.000
Ni1 0.000 0.500 0.500
Pt1 0.500 0.000 0.500
Rh1 0.500 0.500 0.000


# Ni6RuPt
Theoretical PXRD pattern, a wavelength of 1.5418 Å. Input: a crystal structure in Alexandria, relaxed with GGA-PBE.
Lines closer than 0.1° are merged.

Principal peaks in the range 2θ from 5° to 70°, by intensity:
d_spacing	2theta	Rel. int.
2.100	43.07	100
1.822	50.06	32
1.813	50.34	16
3.644	24.42	13
2.570	34.91	10
3.625	24.56	6
2.577	34.81	5
1.628	56.52	4
10.320	8.57	3
1.623	56.72	3

Cell and atoms:
a b c (Å): 6.296 6.296 10.320
angles (deg): 90.00 90.00 109.69
Sites, in units of the cell vectors:
Ni1 0.000 0.000 0.000
Ni2 0.000 0.000 0.500
Ni3 0.122 0.374 0.123
Ni4 0.122 0.374 0.877
Ni5 0.124 0.372 0.373
Ni6 0.124 0.372 0.627
Ni7 0.248 0.752 0.247
Ni8 0.248 0.752 0.753
Ni9 0.372 0.124 0.373
Ni10 0.372 0.124 0.627
Ni11 0.374 0.122 0.123
Ni12 0.374 0.122 0.877
Ni13 0.500 0.500 0.000
Ni14 0.500 0.500 0.500
Ni15 0.626 0.878 0.123
Ni16 0.626 0.878 0.877
Ni17 0.628 0.876 0.373
Ni18 0.628 0.876 0.627
Ni19 0.752 0.248 0.247
Ni20 0.752 0.248 0.753
Ni21 0.876 0.628 0.373
Ni22 0.876 0.628 0.627
Ni23 0.878 0.626 0.123
Ni24 0.878 0.626 0.877
Ru1 0.000 0.000 0.249
Ru2 0.000 0.000 0.751
Ru3 0.248 0.752 0.000
Ru4 0.752 0.248 0.000
Pt1 0.249 0.751 0.500
Pt2 0.500 0.500 0.250
Pt3 0.500 0.500 0.750
Pt4 0.751 0.249 0.500


# Ni3RuPt4
Theoretical PXRD pattern, a wavelength of 1.5418 Å. Input: a crystal structure in Alexandria, relaxed with GGA-PBE.
Lines closer than 0.1° are merged.

Principal peaks in the range 2θ from 5° to 70°, by intensity:
d_spacing	2theta	Rel. int.
2.198	41.06	100
1.916	47.45	33
3.758	23.68	19
2.710	33.05	17
1.879	48.45	15
1.355	69.35	11
1.707	53.69	9
1.544	59.90	7
3.714	23.96	1

Cell and atoms:
a b c (Å): 3.832 3.832 15.031
angles (deg): 90.00 90.00 90.00
Sites, in units of the cell vectors:
Ni1 0.000 0.000 0.000
Ni2 0.000 0.000 0.249
Ni3 0.000 0.000 0.751
Ni4 0.500 0.500 0.251
Ni5 0.500 0.500 0.500
Ni6 0.500 0.500 0.749
Ru1 0.000 0.000 0.500
Ru2 0.500 0.500 0.000
Pt1 0.000 0.500 0.127
Pt2 0.000 0.500 0.373
Pt3 0.000 0.500 0.627
Pt4 0.000 0.500 0.873
Pt5 0.500 0.000 0.127
Pt6 0.500 0.000 0.373
Pt7 0.500 0.000 0.627
Pt8 0.500 0.000 0.873


# Ni6SbPt
Theoretical PXRD pattern, a wavelength of 1.5418 Å. Input: a crystal structure in Alexandria, relaxed with GGA-PBE.
Lines closer than 0.1° are merged.

Principal peaks in the range 2θ from 5° to 70°, by intensity:
d_spacing	2theta	Rel. int.
2.130	42.43	100
1.845	49.40	47
3.690	24.12	22
2.609	34.37	18
1.650	55.71	10
1.506	61.57	7
10.439	8.47	4
6.023	14.71	2
3.945	22.54	1
4.669	19.01	1

Cell and atoms:
a b c (Å): 6.391 6.391 10.439
angles (deg): 90.00 90.00 109.54
Sites, in units of the cell vectors:
Ni1 0.000 0.000 0.000
Ni2 0.000 0.000 0.500
Ni3 0.122 0.374 0.124
Ni4 0.122 0.374 0.876
Ni5 0.123 0.372 0.373
Ni6 0.123 0.372 0.627
Ni7 0.249 0.751 0.248
Ni8 0.249 0.751 0.752
Ni9 0.372 0.123 0.373
Ni10 0.372 0.123 0.627
Ni11 0.374 0.122 0.124
Ni12 0.374 0.122 0.876
Ni13 0.500 0.500 0.000
Ni14 0.500 0.500 0.500
Ni15 0.626 0.878 0.124
Ni16 0.626 0.878 0.876
Ni17 0.628 0.877 0.373
Ni18 0.628 0.877 0.627
Ni19 0.751 0.249 0.248
Ni20 0.751 0.249 0.752
Ni21 0.877 0.628 0.373
Ni22 0.877 0.628 0.627
Ni23 0.878 0.626 0.124
Ni24 0.878 0.626 0.876
Sb1 0.251 0.749 0.500
Sb2 0.500 0.500 0.247
Sb3 0.500 0.500 0.753
Sb4 0.749 0.251 0.500
Pt1 0.000 0.000 0.246
Pt2 0.000 0.000 0.754
Pt3 0.252 0.748 0.000
Pt4 0.748 0.252 0.000


# Ni14SbPt
Theoretical PXRD pattern, a wavelength of 1.5418 Å. Input: a crystal structure in Alexandria, relaxed with GGA-PBE.
Lines closer than 0.1° are merged.

Principal peaks in the range 2θ from 5° to 70°, by intensity:
d_spacing	2theta	Rel. int.
1.968	46.14	100
2.157	41.89	64
2.081	43.49	54
1.945	46.69	45
2.127	42.49	33
1.739	52.62	31
8.323	10.63	23
1.724	53.12	16
3.891	22.86	13
4.161	21.35	8

Cell and atoms:
a b c (Å): 8.323 5.107 5.107
angles (deg): 60.97 90.00 90.00
Sites, in units of the cell vectors:
Ni1 0.000 0.000 0.000
Ni2 0.000 0.000 0.498
Ni3 0.000 0.498 0.000
Ni4 0.000 0.500 0.500
Ni5 0.237 0.170 0.672
Ni6 0.237 0.672 0.170
Ni7 0.241 0.166 0.166
Ni8 0.241 0.667 0.667
Ni9 0.500 0.337 0.835
Ni10 0.500 0.835 0.337
Ni11 0.759 0.166 0.166
Ni12 0.759 0.667 0.667
Ni13 0.763 0.170 0.672
Ni14 0.763 0.672 0.170
Sb1 0.500 0.335 0.335
Pt1 0.500 0.836 0.836


# Ni15Sb4Pt
Theoretical PXRD pattern, a wavelength of 1.5418 Å. Input: a crystal structure in Alexandria, relaxed with GGA-PBE.
Lines closer than 0.1° are merged.

Principal peaks in the range 2θ from 5° to 70°, by intensity:
d_spacing	2theta	Rel. int.
2.145	42.13	100
1.859	49.00	32
1.855	49.12	15
3.715	23.95	15
2.627	34.13	12
1.517	61.10	5
1.662	55.26	4
9.274	9.54	2
1.660	55.35	2
3.645	24.42	1

Cell and atoms:
a b c (Å): 3.718 3.718 18.548
angles (deg): 90.00 90.00 90.00
Sites, in units of the cell vectors:
Ni1 0.000 0.000 0.000
Ni2 0.000 0.000 0.201
Ni3 0.000 0.000 0.401
Ni4 0.000 0.000 0.599
Ni5 0.000 0.000 0.799
Ni6 0.000 0.500 0.097
Ni7 0.000 0.500 0.299
Ni8 0.000 0.500 0.500
Ni9 0.000 0.500 0.701
Ni10 0.000 0.500 0.903
Ni11 0.500 0.000 0.097
Ni12 0.500 0.000 0.299
Ni13 0.500 0.000 0.500
Ni14 0.500 0.000 0.701
Ni15 0.500 0.000 0.903
Sb1 0.500 0.500 0.195
Sb2 0.500 0.500 0.398
Sb3 0.500 0.500 0.602
Sb4 0.500 0.500 0.805
Pt1 0.500 0.500 0.000


# NiSbPt6
Theoretical PXRD pattern, a wavelength of 1.5418 Å. Input: a crystal structure in Alexandria, relaxed with GGA-PBE.
Lines closer than 0.1° are merged.

Principal peaks in the range 2θ from 5° to 70°, by intensity:
d_spacing	2theta	Rel. int.
2.333	38.58	100
2.265	39.80	93
2.014	45.01	66
1.399	66.86	41
1.945	46.69	31
1.458	63.85	11
1.393	67.22	10
5.832	15.19	8
3.237	27.56	6
3.891	22.86	4

Cell and atoms:
a b c (Å): 7.011 6.463 4.785
angles (deg): 75.47 63.17 41.36
Sites, in units of the cell vectors:
Ni1 0.000 0.000 0.000
Sb1 0.500 0.500 0.500
Pt1 0.123 0.123 0.377
Pt2 0.242 0.242 0.758
Pt3 0.377 0.377 0.123
Pt4 0.623 0.623 0.877
Pt5 0.758 0.758 0.242
Pt6 0.877 0.877 0.623